La5HoTl3: calculated XRD peak list (copper Kα), based on a GGA-PBE-relaxed structure.

Main lines, most intense first (15° ≤ 2θ ≤ 90°):
2θ (°)	Rel. int.	(hkl)
31.90	100.0	3 0 0
31.37	90.2	1 1 2
56.51	32.9	4 1 2
45.34	32.2	2 2 2
62.25	30.1	3 0 4
56.84	18.6	3 3 0
41.13	15.2	3 0 2
80.58	13.8	3 3 4
75.53	13.6	5 2 2
66.67	11.2	6 0 0

Crystal structure
a b c (Å): 9.720 9.720 7.043
angles (deg): 90.00 90.00 120.00
Positions (direct):
La 0.000 0.342 0.250
La 0.000 0.658 0.750
La 0.333 0.667 0.000
La 0.333 0.667 0.500
La 0.342 0.000 0.250
La 0.342 0.342 0.750
La 0.658 0.000 0.750
La 0.658 0.658 0.250
La 0.667 0.333 0.000
La 0.667 0.333 0.500
Ho 0.000 0.000 0.000
Ho 0.000 0.000 0.500
Tl 0.000 0.319 0.750
Tl 0.000 0.681 0.250
Tl 0.319 0.000 0.750
Tl 0.319 0.319 0.250
Tl 0.681 0.000 0.250
Tl 0.681 0.681 0.750